(1)
The following is a computed powder diffractogram of AcPm4. It was derived from a GGA-PBE-relaxed structure, using λ = 1.5418 Å (Cu Kα).
Lines closer than 0.1° are merged.

Structure:
Unit cell a=6.584 b=9.689 c=6.473 alpha=90.00 beta=116.09 gamma=90.00
Sites, in units of the cell vectors:
Ac: 0.000 0.123 0.250
Ac: 0.000 0.877 0.750
Pm: 0.256 0.447 0.515
Pm: 0.256 0.553 0.015
Pm: 0.339 0.188 0.931
Pm: 0.339 0.812 0.431
Pm: 0.661 0.188 0.569
Pm: 0.661 0.812 0.069
Pm: 0.744 0.447 0.985
Pm: 0.744 0.553 0.485

Peak list (10 most intense, 10 to 90 degrees two-theta, sorted by position)
2theta  I/Imax
27.41  40
27.62  100
28.71  60
29.13  30
31.65  47
31.81  91
32.11  86
32.96  41
53.02  22
56.85  29

***

(2)
The following is a computed powder diffractogram of CsLaAgI5. It was derived from a GGA-PBE-relaxed structure, using λ = 1.5418 Å (Cu Kα).
Lines closer than 0.1° are merged.

Structure:
Unit cell a=8.779 b=8.779 c=11.952 alpha=103.03 beta=103.03 gamma=106.56
Sites, in units of the cell vectors:
Cs: 0.146 0.854 0.750
Cs: 0.854 0.146 0.250
La: 0.500 0.500 0.000
La: 0.500 0.500 0.500
Ag: 0.190 0.810 0.250
Ag: 0.810 0.190 0.750
I: 0.122 0.265 0.936
I: 0.184 0.594 0.397
I: 0.265 0.122 0.436
I: 0.406 0.816 0.103
I: 0.422 0.578 0.750
I: 0.578 0.422 0.250
I: 0.594 0.184 0.897
I: 0.735 0.878 0.564
I: 0.816 0.406 0.603
I: 0.878 0.735 0.064

Peak list (10 most intense, 10 to 90 degrees two-theta, sorted by position)
2theta  I/Imax
16.41  69
18.25  38
23.20  43
23.74  100
26.35  35
31.99  39
33.61  34
35.75  25
39.02  45
44.33  25

***

(3)
The following is a computed powder diffractogram of Pm4Nd7Pu. It was derived from a GGA-PBE-relaxed structure, using λ = 1.5418 Å (Cu Kα).
Lines closer than 0.1° are merged.

Structure:
Unit cell a=6.369 b=7.361 c=9.080 alpha=89.99 beta=76.51 gamma=89.93
Sites, in units of the cell vectors:
Pm: 0.225 0.247 0.328
Pm: 0.225 0.753 0.328
Pm: 0.775 0.247 0.672
Pm: 0.775 0.753 0.672
Nd: 0.000 0.247 0.000
Nd: 0.000 0.753 0.000
Nd: 0.275 0.500 0.665
Nd: 0.280 0.000 0.670
Nd: 0.500 0.500 0.000
Nd: 0.720 0.000 0.330
Nd: 0.725 0.500 0.335
Pu: 0.500 0.000 0.000

Peak list (10 most intense, 10 to 90 degrees two-theta, sorted by position)
2theta  I/Imax
28.21  38
30.37  48
31.15  100
32.80  83
39.24  19
49.56  37
53.37  23
56.57  16
59.24  43
84.27  16

***

(4)
The following is a computed powder diffractogram of BP3RhC. It was derived from a GGA-PBE-relaxed structure, using λ = 1.5418 Å (Cu Kα).
Lines closer than 0.1° are merged.

Structure:
Unit cell a=3.112 b=5.308 c=5.383 alpha=65.15 beta=80.60 gamma=81.48
Sites, in units of the cell vectors:
B: 0.000 0.000 0.000
P: 0.184 0.414 0.295
P: 0.429 0.095 0.138
P: 0.653 0.744 0.733
Rh: 0.621 0.308 0.638
C: 0.110 0.715 0.965

Peak list (10 most intense, 10 to 90 degrees two-theta, sorted by position)
2theta  I/Imax
18.28  56
18.49  100
20.06  57
29.21  39
31.08  29
32.81  52
34.33  85
36.45  52
37.04  34
45.96  34

***

(5)
The following is a computed powder diffractogram of Pm3NdDySc. It was derived from a GGA-PBE-relaxed structure, using λ = 1.5418 Å (Cu Kα).
Lines closer than 0.1° are merged.

Structure:
Unit cell a=7.958 b=5.083 c=10.126 alpha=90.00 beta=108.69 gamma=90.00
Sites, in units of the cell vectors:
Pm: 0.171 0.250 0.045
Pm: 0.172 0.750 0.790
Pm: 0.177 0.250 0.542
Pm: 0.823 0.750 0.458
Pm: 0.828 0.250 0.210
Pm: 0.829 0.750 0.955
Nd: 0.175 0.750 0.297
Nd: 0.825 0.250 0.703
Dy: 0.499 0.750 0.128
Dy: 0.501 0.250 0.872
Sc: 0.499 0.250 0.378
Sc: 0.501 0.750 0.622

Peak list (10 most intense, 10 to 90 degrees two-theta, sorted by position)
2theta  I/Imax
30.62  100
35.31  17
35.46  17
35.73  16
50.91  12
51.13  18
60.49  14
60.64  7
61.05  13
83.35  8

***

(6)
The following is a computed powder diffractogram of LiSiMo2. It was derived from a GGA-PBE-relaxed structure, using λ = 1.5418 Å (Cu Kα).
Lines closer than 0.1° are merged.

Structure:
Unit cell a=4.298 b=4.298 c=4.298 alpha=119.76 beta=119.76 gamma=90.42
Sites, in units of the cell vectors:
Li: 0.000 0.000 0.000
Si: 0.750 0.250 0.500
Mo: 0.250 0.750 0.500
Mo: 0.500 0.500 0.000

Peak list (10 most intense, 10 to 90 degrees two-theta, sorted by position)
2theta  I/Imax
25.35  100
41.88  50
42.04  99
49.59  31
49.87  15
60.72  16
61.22  8
67.11  12
76.60  33
76.94  16